# DyHo2In3Pt2
Calculated powder diffraction line list, Cu Ka. Input: a structure optimized by DFT (PBE).
Peak positions follow from Bragg's law for the DFT cell and can differ from measured ones.

Atomic structure:
abc: 3.6067 13.3606 7.7115
angles: 90.00 90.00 90.00
Space group Amm2 (No. 38)
Asymmetric unit:
Dy 0.0000 0.0000 0.0000 x2
Ho 0.0000 0.2106 0.3682 x4
In 0.5000 0.0000 0.3484 x2
In 0.5000 0.1152 0.6941 x4
Pt 0.5000 0.1668 0.0789 x4

Peak list (10 most intense, 10° ≤ 2θ ≤ 80°, sorted by position)
13.26°, rel. 27; 34.04°, rel. 100; 35.56°, rel. 70; 36.67°, rel. 69; 40.52°, rel. 19; 50.62°, rel. 17; 55.79°, rel. 21; 63.39°, rel. 26; 66.27°, rel. 17; 69.57°, rel. 24